# 1
Structure and theoretical powder diffraction line list of KZrSnBiO6 (a DFT-relaxed cell (GGA-PBE, the Materials Project); Cu Kα (λ = 1.5418 Å)).
No peak broadening, texture or thermal motion is included.

Top 12 peaks for 10 to 90 degrees two-theta, low angle first:
| two_theta | intensity | hkl |
| --- | --- | --- |
| 18.6 | 32 | 1 1 1 |
| 30.5 | 100 | 2 2 0 |
| 36.0 | 20 | 3 1 1 |
| 43.7 | 32 | 4 0 0 |
| 47.9 | 9 | 3 3 1 |
| 54.3 | 41 | 4 2 2 |
| 57.9 | 7 | 5 1 1 |
| 63.6 | 20 | 4 4 0 |
| 66.9 | 8 | 5 3 1 |
| 72.2 | 18 | 6 2 0 |
| 80.4 | 7 | 4 4 4 |
| 88.4 | 23 | 6 4 2 |

Structure:
```
data_KZrSnBiO6
_chemical_formula_sum 'K4 Zr4 Sn4 Bi4 O24'
_cell_length_a 8.2785
_cell_length_b 8.2785
_cell_length_c 8.2785
_cell_angle_alpha 90.00
_cell_angle_beta 90.00
_cell_angle_gamma 90.00
_space_group_name_H-M_alt 'F -4 3 m'
_space_group_IT_number 216
_space_group_name_Hall 'F -4 2 3'
loop_
_atom_site_label
_atom_site_type_symbol
_atom_site_fract_x
_atom_site_fract_y
_atom_site_fract_z
_atom_site_occupancy
K1 K 0.0000 0.0000 0.0000 1
Zr1 Zr 0.2500 0.2500 0.7500 1
Sn1 Sn 0.2500 0.2500 0.2500 1
Bi1 Bi 0.0000 0.0000 0.5000 1
O1 O 0.0021 0.2500 0.2500 1
```



# 2
Structure and theoretical powder diffraction line list of Cs3PSe2O12 (a DFT-relaxed cell (GGA-PBE, the Materials Project); Cu Kα (λ = 1.5418 Å)).
No peak broadening, texture or thermal motion is included.

Top 12 peaks for 10 to 90 degrees two-theta, low angle first:
| two_theta | intensity | hkl |
| --- | --- | --- |
| 22.8 | 61 | 2 0 2 |
| 23.4 | 65 | 4 0 -2 |
| 24.7 | 100 | 2 2 -1 |
| 26.2 | 42 | 6 0 0 |
| 30.8 | 48 | 4 2 1 |
| 34.8 | 13 | 7 1 -2 |
| 36.7 | 32 | 0 2 3 |
| 38.5 | 12 | 2 0 -4 |
| 41.2 | 24 | 8 2 -1 |
| 41.9 | 23 | 6 2 -3 |
| 50.7 | 12 | 4 4 -2 |
| 52.2 | 10 | 6 4 0 |

Structure:
```
data_Cs3PSe2O12
_chemical_formula_sum 'Cs12 P4 Se8 O48'
_cell_length_a 20.8345
_cell_length_b 8.1815
_cell_length_c 9.3503
_cell_angle_alpha 90.00
_cell_angle_beta 101.41
_cell_angle_gamma 90.00
_space_group_name_H-M_alt 'C 1 2/c 1'
_space_group_IT_number 15
loop_
_space_group_symop_operation_xyz
'x,y,z'
'-x,-y,-z'
'-x,y,-z+1/2'
'x,-y,z+1/2'
'x+1/2,y+1/2,z'
'-x+1/2,-y+1/2,-z'
'-x+1/2,y+1/2,-z+1/2'
'x+1/2,-y+1/2,z+1/2'
loop_
_atom_site_label
_atom_site_type_symbol
_atom_site_fract_x
_atom_site_fract_y
_atom_site_fract_z
_atom_site_occupancy
Cs1 Cs 0.0000 0.0897 0.2500 1
Cs2 Cs 0.1730 0.3713 0.1083 1
P1 P 0.0000 0.4179 0.7500 1
Se1 Se 0.1609 0.1384 0.5727 1
O1 O 0.0264 0.4685 0.1438 1
O2 O 0.0545 0.3027 0.8287 1
O3 O 0.0980 0.0070 0.5575 1
O4 O 0.1465 0.2611 0.4263 1
O5 O 0.1707 0.2471 0.7274 1
O6 O 0.2296 0.0277 0.5792 1
```